No. 1
Pa2Cu5Pd12: calculated X-ray powder pattern (a wavelength of 1.5418 Å), based on the GGA-PBE geometry in Alexandria.
Intensities are scaled so that the largest is 1000.

The 10 most intense peaks (10° ≤ 2θ ≤ 90°), in order of rising 2θ:
d = 3.079 Å, I = 336, hkl 2 2 -1
d = 2.635 Å, I = 300, hkl 2 0 2
d = 2.522 Å, I = 308, hkl 0 2 2
d = 2.457 Å, I = 337, hkl 2 2 -2
d = 2.442 Å, I = 476, hkl 1 3 -1
d = 2.339 Å, I = 1000, hkl 4 2 -1
d = 2.197 Å, I = 406, hkl 2 2 2
d = 2.184 Å, I = 358, hkl 2 0 -3
d = 2.111 Å, I = 308, hkl 4 2 1
d = 1.990 Å, I = 327, hkl 0 4 0

Cell and atoms:
Cell: 11.9342 7.9612 6.6526 Å, 90.00 101.42 90.00°
Space group C2/m (No. 12)
Symmetry-distinct sites (fractional):
Pa  0.0000  0.2304  0.0000 x4
Cu  0.0000  0.0000  0.5000 x2
Cu  0.1564  0.5000  0.1616 x4
Cu  0.2150  0.0000  0.4978 x4
Pd  0.0622  0.5000  0.7708 x4
Pd  0.1046  0.2875  0.4453 x8
Pd  0.1289  0.0000  0.8368 x4
Pd  0.2360  0.1822  0.1782 x8

No. 2
TbEr4In4: calculated X-ray powder pattern (a wavelength of 1.5418 Å), based on the GGA-PBE geometry in Alexandria.
Intensities are scaled so that the largest is 1000.

The 10 most intense peaks (10° ≤ 2θ ≤ 90°), in order of rising 2θ:
d = 5.920 Å, I = 149, hkl 1 0 1
d = 4.239 Å, I = 159, hkl 1 0 2
d = 3.149 Å, I = 148, hkl 1 0 3
d = 3.064 Å, I = 963, hkl 2 1 1
d = 2.532 Å, I = 430, hkl 2 2 0
d = 2.505 Å, I = 1000, hkl 2 0 3
d = 2.469 Å, I = 277, hkl 1 0 4
d = 1.790 Å, I = 251, hkl 4 0 0
d = 1.585 Å, I = 206, hkl 3 2 4
d = 1.457 Å, I = 300, hkl 4 2 3

Cell and atoms:
Cell: 7.1612 7.1612 10.5199 Å, 90.00 90.00 90.00°
Space group P4_2/nmc (No. 137, origin choice 2)
Symmetry-distinct sites (fractional):
Tb  0.2500  0.7500  0.2500 x2
Er  0.0204  0.2500  0.1654 x8
In  0.0315  0.2500  0.4640 x8

No. 3
RbPH6C2N4O4: calculated X-ray powder pattern (a wavelength of 1.5418 Å), based on the GGA-PBE geometry in Alexandria.
Intensities are scaled so that the largest is 1000.

The 10 most intense peaks (10° ≤ 2θ ≤ 90°), in order of rising 2θ:
d = 4.292 Å, I = 370, hkl 0 2 2
d = 4.126 Å, I = 879, hkl 2 2 0
d = 3.750 Å, I = 483, hkl 1 3 1
d = 3.498 Å, I = 1000, hkl 1 1 3
d = 3.321 Å, I = 570, hkl 3 1 1
d = 2.897 Å, I = 292, hkl 0 0 4
d = 2.766 Å, I = 438, hkl 1 3 3
d = 2.484 Å, I = 679, hkl 2 4 2
d = 2.371 Å, I = 265, hkl 2 2 4
d = 2.093 Å, I = 331, hkl 1 5 3

Cell and atoms:
Cell: 10.8055 12.7787 11.5887 Å, 90.00 90.00 90.00°
Space group Fdd2 (No. 43)
Symmetry-distinct sites (fractional):
Rb  0.0000  0.0000  0.0000 x8
P  0.0000  0.0000  0.3245 x8
H  0.0353  0.2948  0.8845 x16
H  0.0748  0.2933  0.6870 x16
H  0.1079  0.4808  0.2255 x16
C  0.0837  0.1376  0.7126 x16
N  0.1020  0.2986  0.9464 x16
N  0.1243  0.4788  0.9123 x16
O  0.0132  0.3608  0.2744 x16
O  0.0284  0.1001  0.2608 x16